No. 1
The following is a theoretical powder X-ray diffraction pattern of CaTmAlZn. It was derived from a cell relaxed with GGA-PBE, using copper Kα.
Kinematic intensities with the Lorentz-polarization factor, no thermal factor.

Structure:
Cell: 3.5695 3.5695 7.4147 Å, 90.00 90.00 90.00°
Fractional positions:
Ca 0.0000 0.0000 0.0000
Tm 0.0000 0.0000 0.5120
Al 0.5000 0.5000 0.2725
Zn 0.5000 0.5000 0.7357

Peak list (6 most intense, 2θ = 10–90°, sorted by position)
d (Å), intensity
7.415, 69
3.216, 27
2.571, 100
2.524, 49
2.389, 19
1.466, 34

No. 2
The following is a theoretical powder X-ray diffraction pattern of CaAlF5. It was derived from a cell relaxed with GGA-PBE, using copper Kα.
Kinematic intensities with the Lorentz-polarization factor, no thermal factor.

Structure:
Cell: 5.4793 5.4793 5.4793 Å, 140.25 107.13 86.37°
Fractional positions:
Ca 0.0000 0.0000 0.0000
Al 0.5000 0.5000 0.0000
F 0.2162 0.5000 0.7162
F 0.2769 0.2769 0.0000
F 0.5000 0.0000 0.5000
F 0.7231 0.7231 0.0000
F 0.7838 0.5000 0.2838

Peak list (6 most intense, 2θ = 10–90°, sorted by position)
d (Å), intensity
3.995, 100
3.254, 59
3.233, 88
2.343, 42
1.998, 38
1.863, 33

No. 3
The following is a theoretical powder X-ray diffraction pattern of VCuPd14. It was derived from a cell relaxed with GGA-PBE, using copper Kα.
Kinematic intensities with the Lorentz-polarization factor, no thermal factor.

Structure:
Cell: 5.5848 5.5848 7.7482 Å, 90.00 90.00 90.00°
Fractional positions:
V 0.0000 0.0000 0.0000
Cu 0.5000 0.5000 0.0000
Pd 0.0000 0.0000 0.5000
Pd 0.0000 0.5000 0.0000
Pd 0.0000 0.5000 0.5000
Pd 0.2476 0.2476 0.2408
Pd 0.2476 0.2476 0.7592
Pd 0.2476 0.7524 0.2408
Pd 0.2476 0.7524 0.7592
Pd 0.5000 0.0000 0.0000
Pd 0.5000 0.0000 0.5000
Pd 0.5000 0.5000 0.5000
Pd 0.7524 0.2476 0.2408
Pd 0.7524 0.2476 0.7592
Pd 0.7524 0.7524 0.2408
Pd 0.7524 0.7524 0.7592

Peak list (6 most intense, 2θ = 10–90°, sorted by position)
d (Å), intensity
2.265, 100
1.975, 33
1.937, 15
1.383, 20
1.189, 24
1.172, 11